[1]
YMg3: calculated X-ray diffraction stick pattern (Cu Kα, 1.54184 Å), based on a crystal structure in the Materials Project, relaxed with PBE.

Crystal structure
```
YMg3
1.0
6.6980 0.0000 0.0000
-3.3490 5.8006 0.0000
0.0000 0.0000 5.1679
Y Mg
2 6
direct
0.3333 0.6667 0.2500 Y
0.6667 0.3333 0.7500 Y
0.1623 0.3247 0.7500 Mg
0.1623 0.8377 0.7500 Mg
0.3247 0.1623 0.2500 Mg
0.6753 0.8377 0.7500 Mg
0.8377 0.1623 0.2500 Mg
0.8377 0.6753 0.2500 Mg
```

Top 6 peaks for 2θ = 10–90°, by intensity:
| two_theta | I/Imax |
| --- | --- |
| 35.49 | 100 |
| 23.05 | 49 |
| 30.83 | 25 |
| 34.72 | 24 |
| 54.84 | 22 |
| 26.62 | 22 |

***

[2]
Sr5U5O19: calculated X-ray diffraction stick pattern (Cu Kα, 1.54184 Å), based on a crystal structure in the Materials Project, relaxed with PBE.

Crystal structure
```
Sr5U5O19
1.0
6.3659 -2.0067 0.0000
6.3659 2.0067 0.0000
-3.2838 0.0000 16.8864
Sr U O
5 5 19
direct
0.0000 0.0000 0.0000 Sr
0.1924 0.1924 0.4008 Sr
0.3906 0.3906 0.7992 Sr
0.5781 0.5781 0.1990 Sr
0.7925 0.7925 0.6008 Sr
0.0910 0.0910 0.6992 U
0.2935 0.2935 0.0916 U
0.4951 0.4951 0.5039 U
0.6886 0.6886 0.8935 U
0.8951 0.8951 0.3111 U
0.0387 0.0387 0.2799 O
0.1492 0.1492 0.1276 O
0.1939 0.1939 0.8255 O
0.1956 0.1956 0.9714 O
0.2400 0.2400 0.6778 O
0.3448 0.3448 0.5222 O
0.3749 0.3749 0.2152 O
0.3898 0.3898 0.3713 O
0.4463 0.4463 0.0705 O
0.5431 0.5431 0.9187 O
0.5879 0.5879 0.7711 O
0.5954 0.5954 0.6278 O
0.6426 0.6426 0.4789 O
0.7402 0.7402 0.3160 O
0.7963 0.7963 0.0514 O
0.8406 0.8406 0.8824 O
0.9426 0.9426 0.7226 O
0.9896 0.9896 0.5742 O
0.9965 0.9965 0.4303 O
```

Top 6 peaks for 2θ = 10–90°, by intensity:
| two_theta | I/Imax |
| --- | --- |
| 27.44 | 100 |
| 14.14 | 53 |
| 27.67 | 48 |
| 32.10 | 44 |
| 28.51 | 44 |
| 45.63 | 33 |

***

[3]
KReN2: calculated X-ray diffraction stick pattern (Cu Kα, 1.54184 Å), based on a crystal structure in the Materials Project, relaxed with PBE.

Crystal structure
```
KReN2
1.0
7.8326 0.0000 0.0000
0.0000 6.2144 0.0000
0.0000 0.0000 12.2441
K Re N
8 8 16
direct
0.1123 0.0590 0.2500 K
0.1123 0.4410 0.7500 K
0.3660 0.2500 0.0000 K
0.3660 0.2500 0.5000 K
0.6340 0.7500 0.0000 K
0.6340 0.7500 0.5000 K
0.8877 0.5590 0.2500 K
0.8877 0.9410 0.7500 K
0.1339 0.7500 0.0000 Re
0.1339 0.7500 0.5000 Re
0.3903 0.6238 0.2500 Re
0.3903 0.8762 0.7500 Re
0.6097 0.1238 0.2500 Re
0.6097 0.3762 0.7500 Re
0.8661 0.2500 0.0000 Re
0.8661 0.2500 0.5000 Re
0.0000 0.0000 0.0000 N
0.0000 0.0000 0.5000 N
0.0000 0.5000 0.0000 N
0.0000 0.5000 0.5000 N
0.2731 0.6964 0.1231 N
0.2731 0.6964 0.3769 N
0.2731 0.8036 0.6231 N
0.2731 0.8036 0.8769 N
0.4219 0.1818 0.7500 N
0.4219 0.3182 0.2500 N
0.5781 0.6818 0.7500 N
0.5781 0.8182 0.2500 N
0.7269 0.1964 0.1231 N
0.7269 0.1964 0.3769 N
0.7269 0.3036 0.6231 N
0.7269 0.3036 0.8769 N
```

Top 6 peaks for 2θ = 10–90°, by intensity:
| two_theta | I/Imax |
| --- | --- |
| 30.68 | 100 |
| 18.39 | 74 |
| 18.22 | 56 |
| 29.17 | 46 |
| 27.90 | 31 |
| 52.68 | 22 |

***

[4]
LiSmSn: calculated X-ray diffraction stick pattern (Cu Kα, 1.54184 Å), based on a crystal structure in the Materials Project, relaxed with PBE.

Crystal structure
```
LiSmSn
1.0
9.4768 0.0000 0.0000
-4.7384 8.2072 0.0000
0.0000 0.0000 7.5576
Li Sm Sn
8 8 8
direct
0.1658 0.3316 0.0000 Li
0.1658 0.8342 0.0000 Li
0.3316 0.1658 0.5000 Li
0.3333 0.6667 0.6290 Li
0.6667 0.3333 0.1290 Li
0.6684 0.8342 0.0000 Li
0.8342 0.1658 0.5000 Li
0.8342 0.6684 0.5000 Li
0.0000 0.0000 0.2858 Sm
0.0000 0.0000 0.7858 Sm
0.0264 0.5132 0.2931 Sm
0.4868 0.5132 0.2931 Sm
0.4868 0.9736 0.2931 Sm
0.5132 0.0264 0.7931 Sm
0.5132 0.4868 0.7931 Sm
0.9736 0.4868 0.7931 Sm
0.1671 0.3342 0.5590 Sn
0.1671 0.8329 0.5590 Sn
0.3333 0.6667 0.0204 Sn
0.3342 0.1671 0.0590 Sn
0.6658 0.8329 0.5590 Sn
0.6667 0.3333 0.5204 Sn
0.8329 0.1671 0.0590 Sn
0.8329 0.6658 0.0590 Sn
```

Top 6 peaks for 2θ = 10–90°, by intensity:
| two_theta | I/Imax |
| --- | --- |
| 32.20 | 100 |
| 37.98 | 53 |
| 24.69 | 46 |
| 50.62 | 26 |
| 65.00 | 23 |
| 21.66 | 22 |